Entry 1:
Calculated powder X-ray diffraction pattern
Compound: Tm4SiTe
Radiation: λ = 1.5418 Å (Cu Kα)
Structure: a crystal structure in Alexandria, relaxed with GGA-PBE
No peak broadening, texture or thermal motion is included.

Most intense lines, 2θ from 15° to 90°, by angle:
| 2θ/deg | I_rel |
| --- | --- |
| 18.64 | 177 |
| 26.48 | 281 |
| 28.39 | 1000 |
| 29.67 | 295 |
| 36.77 | 256 |
| 37.79 | 261 |
| 43.21 | 159 |
| 45.88 | 303 |
| 47.94 | 221 |
| 58.73 | 156 |

```
data_Tm4SiTe
_chemical_formula_sum 'Tm8 Si2 Te2'
_symmetry_space_group_name_H-M 'P 1'
_symmetry_Int_Tables_number 1
_symmetry_space_group_name_Hall 'P 1'
_cell_length_a 7.9281
_cell_length_b 7.9281
_cell_length_c 7.9281
_cell_angle_alpha 106.19
_cell_angle_beta 106.19
_cell_angle_gamma 116.25
loop_
_atom_site_label
_atom_site_type_symbol
_atom_site_fract_x
_atom_site_fract_y
_atom_site_fract_z
Tm1 Tm 0.1495 0.4557 0.6939
Tm2 Tm 0.2057 0.0118 0.8061
Tm3 Tm 0.2057 0.3995 0.1939
Tm4 Tm 0.2841 0.0000 0.2841
Tm5 Tm 0.7159 0.0000 0.7159
Tm6 Tm 0.7500 0.5341 0.7841
Tm7 Tm 0.7500 0.9659 0.2159
Tm8 Tm 0.7618 0.4557 0.3061
Si1 Si 0.7177 0.2177 0.5000
Si2 Si 0.9677 0.9677 0.0000
Te1 Te 0.2403 0.7403 0.5000
Te2 Te 0.4903 0.4903 0.0000
```

Entry 2:
Calculated powder X-ray diffraction pattern
Compound: Tm4SiTe2
Radiation: λ = 1.5418 Å (Cu Kα)
Structure: a crystal structure in Alexandria, relaxed with GGA-PBE
No peak broadening, texture or thermal motion is included.

Most intense lines, 2θ from 15° to 90°, by angle:
| 2θ/deg | I_rel |
| --- | --- |
| 27.49 | 1000 |
| 30.86 | 785 |
| 36.67 | 677 |
| 39.26 | 333 |
| 41.80 | 244 |
| 46.44 | 440 |
| 50.77 | 318 |
| 54.79 | 181 |
| 64.34 | 204 |
| 72.93 | 194 |

```
data_Tm4SiTe2
_chemical_formula_sum 'Tm8 Si2 Te4'
_symmetry_space_group_name_H-M 'P 1'
_symmetry_Int_Tables_number 1
_symmetry_space_group_name_Hall 'P 1'
_cell_length_a 7.9422
_cell_length_b 7.9422
_cell_length_c 7.9422
_cell_angle_alpha 109.40
_cell_angle_beta 109.40
_cell_angle_gamma 109.61
loop_
_atom_site_label
_atom_site_type_symbol
_atom_site_fract_x
_atom_site_fract_y
_atom_site_fract_z
Tm1 Tm 0.1748 0.2235 0.5487
Tm2 Tm 0.1748 0.6261 0.9513
Tm3 Tm 0.2235 0.1748 0.0487
Tm4 Tm 0.3739 0.8252 0.5487
Tm5 Tm 0.6261 0.1748 0.4513
Tm6 Tm 0.7765 0.8252 0.9513
Tm7 Tm 0.8252 0.3739 0.0487
Tm8 Tm 0.8252 0.7765 0.4513
Si1 Si 0.1250 0.8750 0.2500
Si2 Si 0.8750 0.1250 0.7500
Te1 Te 0.0000 0.5000 0.5000
Te2 Te 0.5000 0.0000 0.0000
Te3 Te 0.5000 0.5000 0.0000
Te4 Te 0.5000 0.5000 0.5000
```